1.
Theoretical X-ray diffraction stick pattern
Compound: CsU4Pt3S12
Radiation: Cu Kα (λ = 1.5418 Å)
Structure: a crystal structure in Alexandria, relaxed with GGA-PBE

Top 10 peaks for 10 to 90 degrees two-theta, by intensity:
(hkl)	d [Å]	I/Imax
2 2 0	3.471	100
4 2 2	2.004	58
6 4 2	1.312	25
4 0 0	2.454	24
6 0 2	1.552	23
6 6 0	1.157	18
4 4 0	1.736	15
8 0 4	1.098	7
4 4 4	1.417	6
8 0 0	1.227	3

Structural model:
```
data_CsU4Pt3S12
_symmetry_space_group_name_H-M 'I m -3'
_symmetry_Int_Tables_number 204
_symmetry_space_group_name_Hall '-I 2 2 3'
_cell_length_a 9.8176
_cell_length_b 9.8176
_cell_length_c 9.8176
_cell_angle_alpha 90.00
_cell_angle_beta 90.00
_cell_angle_gamma 90.00
loop_
_atom_site_label
_atom_site_type_symbol
_atom_site_fract_x
_atom_site_fract_y
_atom_site_fract_z
Cs1 Cs 0.0000 0.0000 0.0000
U1 U 0.2500 0.2500 0.2500
Pt1 Pt 0.0000 0.0000 0.5000
S1 S 0.0000 0.1638 0.3235
```

2.
Theoretical X-ray diffraction stick pattern
Compound: CsSb12Pt4
Radiation: Cu Kα (λ = 1.5418 Å)
Structure: a crystal structure in Alexandria, relaxed with GGA-PBE

Top 10 peaks for 10 to 90 degrees two-theta, by intensity:
(hkl)	d [Å]	I/Imax
3 0 1	3.059	100
4 2 2	1.975	60
4 0 2	2.163	57
3 1 2	2.586	39
2 2 0	3.421	34
4 3 1	1.897	34
2 0 0	4.837	26
6 6 0	1.140	22
6 2 0	1.530	18
6 1 3	1.426	17

Structural model:
```
data_CsSb12Pt4
_symmetry_space_group_name_H-M 'I m -3'
_symmetry_Int_Tables_number 204
_symmetry_space_group_name_Hall '-I 2 2 3'
_cell_length_a 9.6747
_cell_length_b 9.6747
_cell_length_c 9.6747
_cell_angle_alpha 90.00
_cell_angle_beta 90.00
_cell_angle_gamma 90.00
loop_
_atom_site_label
_atom_site_type_symbol
_atom_site_fract_x
_atom_site_fract_y
_atom_site_fract_z
Cs1 Cs 0.0000 0.0000 0.0000
Sb1 Sb 0.0000 0.3481 0.1573
Pt1 Pt 0.2500 0.2500 0.2500
```

3.
Theoretical X-ray diffraction stick pattern
Compound: Cs2Sb5Pt3
Radiation: Cu Kα (λ = 1.5418 Å)
Structure: a crystal structure in Alexandria, relaxed with GGA-PBE

Top 10 peaks for 10 to 90 degrees two-theta, by intensity:
(hkl)	d [Å]	I/Imax
0 4 2	2.525	100
2 0 2	2.989	91
3 2 1	2.955	88
4 0 2	2.170	51
3 2 3	1.920	48
8 4 2	1.201	34
0 0 4	1.785	33
6 0 2	1.623	25
2 0 0	5.466	22
2 4 4	1.533	22

Structural model:
```
data_Cs2Sb5Pt3
_symmetry_space_group_name_H-M 'I b a m'
_symmetry_Int_Tables_number 72
_symmetry_space_group_name_Hall '-I 2 2c'
_cell_length_a 10.9327
_cell_length_b 14.2943
_cell_length_c 7.1359
_cell_angle_alpha 90.00
_cell_angle_beta 90.00
_cell_angle_gamma 90.00
loop_
_atom_site_label
_atom_site_type_symbol
_atom_site_fract_x
_atom_site_fract_y
_atom_site_fract_z
Cs1 Cs 0.2443 0.1314 0.0000
Sb1 Sb 0.0000 0.2628 0.2500
Sb2 Sb 0.0000 0.5000 0.2500
Sb3 Sb 0.1301 0.1058 0.5000
Pt1 Pt 0.0000 0.0000 0.2500
Pt2 Pt 0.1089 0.3790 0.0000
```

4.
Theoretical X-ray diffraction stick pattern
Compound: Cs2SbPt2
Radiation: Cu Kα (λ = 1.5418 Å)
Structure: a crystal structure in Alexandria, relaxed with GGA-PBE

Top 10 peaks for 10 to 90 degrees two-theta, by intensity:
(hkl)	d [Å]	I/Imax
2 1 0	3.028	100
0 2 0	3.263	25
2 2 -2	2.054	24
2 3 0	1.835	24
2 0 -2	2.641	19
1 1 0	4.720	16
1 2 2	2.156	12
0 0 1	6.837	12
2 2 2	1.847	12
1 2 -1	2.777	9

Structural model:
```
data_Cs2SbPt2
_symmetry_space_group_name_H-M 'P 1 2/m 1'
_symmetry_Int_Tables_number 10
_symmetry_space_group_name_Hall '-P 2y'
_cell_length_a 6.9165
_cell_length_b 6.5251
_cell_length_c 6.9447
_cell_angle_alpha 90.00
_cell_angle_beta 99.46
_cell_angle_gamma 90.00
loop_
_atom_site_label
_atom_site_type_symbol
_atom_site_fract_x
_atom_site_fract_y
_atom_site_fract_z
Cs1 Cs 0.0172 0.0000 0.2472
Cs2 Cs 0.2516 0.5000 0.4743
Sb1 Sb 0.5000 0.2491 0.0000
Pt1 Pt 0.1853 0.5000 0.9801
Pt2 Pt 0.4846 0.0000 0.6858
```

5.
Theoretical X-ray diffraction stick pattern
Compound: CsSbPt
Radiation: Cu Kα (λ = 1.5418 Å)
Structure: a crystal structure in Alexandria, relaxed with GGA-PBE

Top 10 peaks for 10 to 90 degrees two-theta, by intensity:
(hkl)	d [Å]	I/Imax
3 1 1	2.710	100
2 0 -1	5.769	82
0 0 1	6.753	78
2 0 0	6.837	74
3 1 -1	3.219	70
2 0 -2	3.480	70
1 1 3	1.930	63
0 2 0	2.323	50
5 1 1	2.062	50
4 0 -2	2.884	45

Structural model:
```
data_CsSbPt
_symmetry_space_group_name_H-M 'C 1 2/m 1'
_symmetry_Int_Tables_number 12
_symmetry_space_group_name_Hall '-C 2y'
_cell_length_a 14.3648
_cell_length_b 4.6455
_cell_length_c 7.0937
_cell_angle_alpha 90.00
_cell_angle_beta 107.84
_cell_angle_gamma 90.00
loop_
_atom_site_label
_atom_site_type_symbol
_atom_site_fract_x
_atom_site_fract_y
_atom_site_fract_z
Cs1 Cs 0.1119 0.0000 0.3059
Sb1 Sb 0.1240 0.5000 0.8210
Pt1 Pt 0.2094 0.0000 0.8830
```

6.
Theoretical X-ray diffraction stick pattern
Compound: Cs2UPt3Se6
Radiation: Cu Kα (λ = 1.5418 Å)
Structure: a crystal structure in Alexandria, relaxed with GGA-PBE

Top 10 peaks for 10 to 90 degrees two-theta, by intensity:
(hkl)	d [Å]	I/Imax
0 2 0	8.196	100
3 3 3	2.590	41
3 5 3	2.190	33
3 1 3	2.896	32
0 2 4	3.891	27
6 0 0	1.695	22
0 2 6	2.781	20
0 6 6	2.007	18
3 7 3	1.832	15
0 4 6	2.398	12

Structural model:
```
data_Cs2UPt3Se6
_symmetry_space_group_name_H-M 'F m m m'
_symmetry_Int_Tables_number 69
_symmetry_space_group_name_Hall '-F 2 2'
_cell_length_a 10.1746
_cell_length_b 16.3929
_cell_length_c 17.7395
_cell_angle_alpha 90.00
_cell_angle_beta 90.00
_cell_angle_gamma 90.00
loop_
_atom_site_label
_atom_site_type_symbol
_atom_site_fract_x
_atom_site_fract_y
_atom_site_fract_z
Cs1 Cs 0.0000 0.1598 0.0000
Cs2 Cs 0.2500 0.2500 0.2500
U1 U 0.0000 0.0000 0.3330
Pt1 Pt 0.1660 0.0000 0.5000
Pt2 Pt 0.1679 0.0000 0.1646
Se1 Se 0.0000 0.1036 0.2037
Se2 Se 0.1899 0.1046 0.3987
```

7.
Theoretical X-ray diffraction stick pattern
Compound: Cs2SnPt2
Radiation: Cu Kα (λ = 1.5418 Å)
Structure: a crystal structure in Alexandria, relaxed with GGA-PBE

Top 10 peaks for 10 to 90 degrees two-theta, by intensity:
(hkl)	d [Å]	I/Imax
2 2 1	3.042	100
4 0 2	2.057	25
0 0 2	3.182	24
2 2 3	1.809	22
1 1 1	4.686	16
1 1 0	6.925	12
6 2 1	1.615	11
4 0 0	2.696	11
0 4 2	1.842	11
3 3 0	2.308	10

Structural model:
```
data_Cs2SnPt2
_symmetry_space_group_name_H-M 'C 1 2/c 1'
_symmetry_Int_Tables_number 15
_symmetry_space_group_name_Hall '-C 2yc'
_cell_length_a 10.7821
_cell_length_b 9.0358
_cell_length_c 6.3634
_cell_angle_alpha 90.00
_cell_angle_beta 90.06
_cell_angle_gamma 90.00
loop_
_atom_site_label
_atom_site_type_symbol
_atom_site_fract_x
_atom_site_fract_y
_atom_site_fract_z
Cs1 Cs 0.1383 0.1152 0.9999
Sn1 Sn 0.0000 0.5001 0.2500
Pt1 Pt 0.1475 0.3297 0.4999
```

8.
Theoretical X-ray diffraction stick pattern
Compound: Cs2Te3Pt
Radiation: Cu Kα (λ = 1.5418 Å)
Structure: a crystal structure in Alexandria, relaxed with GGA-PBE

Top 10 peaks for 10 to 90 degrees two-theta, by intensity:
(hkl)	d [Å]	I/Imax
3 1 1	3.751	100
1 1 0	8.258	92
1 3 0	3.246	83
2 0 0	7.330	59
3 1 2	2.788	48
0 2 1	4.108	39
4 0 2	2.571	36
4 4 1	1.985	29
4 2 2	2.286	27
3 1 3	2.108	25

Structural model:
```
data_Cs2Te3Pt
_symmetry_space_group_name_H-M 'C m c 21'
_symmetry_Int_Tables_number 36
_symmetry_space_group_name_Hall 'C 2c -2'
_cell_length_a 14.6604
_cell_length_b 9.9940
_cell_length_c 7.2166
_cell_angle_alpha 90.00
_cell_angle_beta 90.00
_cell_angle_gamma 90.00
loop_
_atom_site_label
_atom_site_type_symbol
_atom_site_fract_x
_atom_site_fract_y
_atom_site_fract_z
Cs1 Cs 0.1430 0.1603 0.0000
Te1 Te 0.0000 0.1709 0.5274
Te2 Te 0.1235 0.4692 0.3130
Pt1 Pt 0.0000 0.4383 0.5801
```

9.
Theoretical X-ray diffraction stick pattern
Compound: CsTePt
Radiation: Cu Kα (λ = 1.5418 Å)
Structure: a crystal structure in Alexandria, relaxed with GGA-PBE

Top 10 peaks for 10 to 90 degrees two-theta, by intensity:
(hkl)	d [Å]	I/Imax
1 0 0	6.659	100
2 0 -2	3.354	82
1 2 1	2.837	76
2 1 0	3.059	64
0 2 1	3.449	57
1 1 -3	2.654	41
0 4 0	1.936	37
1 1 1	3.671	35
2 1 -2	3.079	33
3 1 1	1.857	30

Structural model:
```
data_CsTePt
_symmetry_space_group_name_H-M 'P 1 21/c 1'
_symmetry_Int_Tables_number 14
_symmetry_space_group_name_Hall '-P 2ybc'
_cell_length_a 7.4435
_cell_length_b 7.7399
_cell_length_c 8.4975
_cell_angle_alpha 90.00
_cell_angle_beta 116.54
_cell_angle_gamma 90.00
loop_
_atom_site_label
_atom_site_type_symbol
_atom_site_fract_x
_atom_site_fract_y
_atom_site_fract_z
Cs1 Cs 0.1835 0.1041 0.3913
Te1 Te 0.3294 0.6013 0.5526
Pt1 Pt 0.4265 0.6638 0.2921
```

10.
Theoretical X-ray diffraction stick pattern
Compound: Cs3Tl7Pt4
Radiation: Cu Kα (λ = 1.5418 Å)
Structure: a crystal structure in Alexandria, relaxed with GGA-PBE

Top 10 peaks for 10 to 90 degrees two-theta, by intensity:
(hkl)	d [Å]	I/Imax
1 1 2	3.128	100
5 1 -1	2.988	83
0 2 0	2.280	74
7 1 -3	2.317	68
2 0 1	5.480	36
2 0 -2	5.547	29
6 0 1	2.530	28
3 1 0	3.608	24
6 2 1	1.694	23
2 0 -4	2.740	22

Structural model:
```
data_Cs3Tl7Pt4
_symmetry_space_group_name_H-M 'C 1 2/m 1'
_symmetry_Int_Tables_number 12
_symmetry_space_group_name_Hall '-C 2y'
_cell_length_a 19.8984
_cell_length_b 4.5612
_cell_length_c 11.1710
_cell_angle_alpha 90.00
_cell_angle_beta 117.20
_cell_angle_gamma 90.00
loop_
_atom_site_label
_atom_site_type_symbol
_atom_site_fract_x
_atom_site_fract_y
_atom_site_fract_z
Cs1 Cs 0.0000 0.0000 0.0000
Cs2 Cs 0.1944 0.5000 0.6371
Tl1 Tl 0.0000 0.0000 0.5000
Tl2 Tl 0.0342 0.5000 0.7507
Tl3 Tl 0.1384 0.5000 0.2662
Tl4 Tl 0.1816 0.0000 0.9115
Pt1 Pt 0.0732 0.0000 0.3350
Pt2 Pt 0.1586 0.5000 0.0332
```

11.
Theoretical X-ray diffraction stick pattern
Compound: Cs4Tl4Pt
Radiation: Cu Kα (λ = 1.5418 Å)
Structure: a crystal structure in Alexandria, relaxed with GGA-PBE

Top 10 peaks for 10 to 90 degrees two-theta, by intensity:
(hkl)	d [Å]	I/Imax
2 0 4	2.790	100
2 0 0	3.914	95
1 1 4	3.231	92
1 0 1	7.024	81
2 1 1	3.419	73
2 1 3	2.922	63
2 2 0	2.768	58
1 1 8	1.872	44
4 1 3	1.788	42
4 1 1	1.885	39

Structural model:
```
data_Cs4Tl4Pt
_symmetry_space_group_name_H-M 'I -4 2 m'
_symmetry_Int_Tables_number 121
_symmetry_space_group_name_Hall 'I -4 2'
_cell_length_a 7.8279
_cell_length_b 7.8279
_cell_length_c 15.9152
_cell_angle_alpha 90.00
_cell_angle_beta 90.00
_cell_angle_gamma 90.00
loop_
_atom_site_label
_atom_site_type_symbol
_atom_site_fract_x
_atom_site_fract_y
_atom_site_fract_z
Cs1 Cs 0.2050 0.2050 0.3513
Tl1 Tl 0.2011 0.2011 0.0931
Pt1 Pt 0.0000 0.0000 0.0000
```

12.
Theoretical X-ray diffraction stick pattern
Compound: Cs2Tl5Pt
Radiation: Cu Kα (λ = 1.5418 Å)
Structure: a crystal structure in Alexandria, relaxed with GGA-PBE

Top 10 peaks for 10 to 90 degrees two-theta, by intensity:
(hkl)	d [Å]	I/Imax
2 2 0	3.064	100
2 2 -2	2.442	44
1 1 0	6.129	36
2 0 0	6.648	26
4 2 0	2.395	25
6 2 -4	1.504	24
5 1 -1	2.748	20
8 0 -2	1.865	18
4 0 0	3.324	18
6 2 -2	1.968	16

Structural model:
```
data_Cs2Tl5Pt
_symmetry_space_group_name_H-M 'C 1 m 1'
_symmetry_Int_Tables_number 8
_symmetry_space_group_name_Hall 'C -2y'
_cell_length_a 14.9800
_cell_length_b 6.9064
_cell_length_c 6.9065
_cell_angle_alpha 90.00
_cell_angle_beta 117.42
_cell_angle_gamma 90.00
loop_
_atom_site_label
_atom_site_type_symbol
_atom_site_fract_x
_atom_site_fract_y
_atom_site_fract_z
Cs1 Cs 0.0000 0.0000 0.0000
Cs2 Cs 0.0000 0.5000 0.4983
Tl1 Tl 0.0855 0.0000 0.5855
Tl2 Tl 0.2640 0.2459 0.0099
Tl3 Tl 0.2645 0.2454 0.5191
Pt1 Pt 0.3690 0.5000 0.3691
```